# Sr2ZnPtO4
Calculated powder diffractogram, Cu Kα, 1.54184 Å. Input: a PBE-relaxed structure.
Peak positions follow from Bragg's law for the DFT cell and can differ from measured ones.

Structural model:
Cell: 6.107 6.107 6.441 Å, 90.00 90.00 90.00°
Space group I-4 (No. 82)
Asymmetric unit:
Sr: 0.000 0.000 0.000 (multiplicity 2)
Sr: 0.000 0.500 0.250 (multiplicity 2)
Zn: 0.000 0.000 0.500 (multiplicity 2)
Pt: 0.000 0.500 0.750 (multiplicity 2)
O: 0.162 0.205 0.702 (multiplicity 8)

Peak list (6 most intense, 2θ from 15° to 90°, in order of rising 2θ)
h k l  d/Å  2theta  I (rel.)
1 0 1  4.432  20.04  25.7
2 0 0  3.054  29.25  65.6
1 1 2  2.582  34.75  100.0
2 2 0  2.159  41.84  34.2
3 1 2  1.656  55.48  57.5
2 0 4  1.424  65.54  15.3

# Sr3ZnPtO6
Calculated powder diffractogram, Cu Kα, 1.54184 Å. Input: a PBE-relaxed structure.
Peak positions follow from Bragg's law for the DFT cell and can differ from measured ones.

Structural model:
Cell: 9.6968 9.6968 11.4215 Å, 90.00 90.00 120.00°
Space group R-3c (No. 167, hexagonal axes)
Asymmetric unit:
Sr: 0.0000 0.3634 0.2500 (multiplicity 18)
Zn: 0.0000 0.0000 0.2500 (multiplicity 6)
Pt: 0.0000 0.0000 0.0000 (multiplicity 6)
O: 0.0203 0.1734 0.3865 (multiplicity 36)

Peak list (6 most intense, 2θ from 15° to 90°, in order of rising 2θ)
h k l  d/Å  2theta  I (rel.)
1 1 0  4.848  18.30  42.7
0 1 2  4.722  18.79  40.3
1 1 3  2.994  29.84  43.6
3 0 0  2.799  31.97  100.0
0 2 4  2.361  38.11  29.5
2 1 4  2.123  42.59  37.5

# TaTlPtO6
Calculated powder diffractogram, Cu Kα, 1.54184 Å. Input: a PBE-relaxed structure.
Peak positions follow from Bragg's law for the DFT cell and can differ from measured ones.

Structural model:
Cell: 4.843 4.843 9.767 Å, 90.00 90.00 90.00°
Space group P4_2nm (No. 102)
Asymmetric unit:
Ta: 0.000 0.000 0.000 (multiplicity 2)
Tl: 0.000 0.000 0.328 (multiplicity 2)
Pt: 0.000 0.000 0.660 (multiplicity 2)
O: 0.174 0.174 0.831 (multiplicity 4)
O: 0.203 0.203 0.508 (multiplicity 4)
O: 0.207 0.207 0.141 (multiplicity 4)

Peak list (6 most intense, 2θ from 15° to 90°, in order of rising 2θ)
h k l  d/Å  2theta  I (rel.)
1 1 0  3.425  26.02  100.0
1 0 3  2.702  33.16  90.9
2 0 0  2.422  37.13  28.8
2 1 3  1.803  50.62  68.2
3 1 0  1.531  60.45  17.3
3 0 3  1.446  64.42  19.0

# Tb2Pt2O7
Calculated powder diffractogram, Cu Kα, 1.54184 Å. Input: a PBE-relaxed structure.
Peak positions follow from Bragg's law for the DFT cell and can differ from measured ones.

Structural model:
Cell: 10.315 10.315 10.315 Å, 90.00 90.00 90.00°
Space group Fd-3m (No. 227, origin choice 2)
Asymmetric unit:
Tb: 0.000 0.000 0.000 (multiplicity 16)
Pt: 0.000 0.000 0.500 (multiplicity 16)
O: 0.090 0.375 0.875 (multiplicity 48)
O: 0.125 0.125 0.125 (multiplicity 8)

Peak list (6 most intense, 2θ from 15° to 90°, in order of rising 2θ)
h k l  d/Å  2theta  I (rel.)
2 2 2  2.978  30.01  100.0
4 0 0  2.579  34.79  36.7
4 4 0  1.824  50.02  45.8
6 2 2  1.555  59.44  44.1
6 6 2  1.183  81.31  18.2
8 4 0  1.153  83.90  14.9

# Th2Pt2O7
Calculated powder diffractogram, Cu Kα, 1.54184 Å. Input: a PBE-relaxed structure.
Peak positions follow from Bragg's law for the DFT cell and can differ from measured ones.

Structural model:
Cell: 10.706 10.706 10.706 Å, 90.00 90.00 90.00°
Space group Fd-3m (No. 227, origin choice 2)
Asymmetric unit:
Th: 0.000 0.000 0.000 (multiplicity 16)
Pt: 0.000 0.000 0.500 (multiplicity 16)
O: 0.101 0.375 0.875 (multiplicity 48)
O: 0.125 0.125 0.125 (multiplicity 8)

Peak list (6 most intense, 2θ from 15° to 90°, in order of rising 2θ)
h k l  d/Å  2theta  I (rel.)
2 2 2  3.090  28.89  100.0
4 0 0  2.676  33.48  38.3
4 4 0  1.893  48.08  47.0
6 2 2  1.614  57.07  46.1
6 6 2  1.228  77.77  19.0
8 4 4  1.093  89.75  15.8

# ThPtO
Calculated powder diffractogram, Cu Kα, 1.54184 Å. Input: a PBE-relaxed structure.
Peak positions follow from Bragg's law for the DFT cell and can differ from measured ones.

Structural model:
Cell: 3.9705 3.9705 25.4510 Å, 90.00 90.00 120.00°
Space group R-3m (No. 166, hexagonal axes)
Asymmetric unit:
Th: 0.0000 0.0000 0.1005 (multiplicity 6)
Pt: 0.0000 0.0000 0.3063 (multiplicity 6)
O: 0.0000 0.0000 0.1932 (multiplicity 6)

Peak list (6 most intense, 2θ from 15° to 90°, in order of rising 2θ)
h k l  d/Å  2theta  I (rel.)
1 0 4  3.025  29.53  16.9
0 1 5  2.849  31.39  100.0
1 0 10  2.046  44.28  43.7
1 1 0  1.985  45.70  43.1
2 0 5  1.629  56.49  20.0
1 2 5  1.259  75.50  17.4

# Ti6Pt3O2
Calculated powder diffractogram, Cu Kα, 1.54184 Å. Input: a PBE-relaxed structure.
Peak positions follow from Bragg's law for the DFT cell and can differ from measured ones.

Structural model:
Cell: 2.9507 2.9507 61.1208 Å, 90.00 90.00 120.00°
Space group R-3m (No. 166, hexagonal axes)
Asymmetric unit:
Ti: 0.0000 0.0000 0.1064 (multiplicity 6)
Ti: 0.0000 0.0000 0.1854 (multiplicity 6)
Ti: 0.0000 0.0000 0.3687 (multiplicity 6)
Pt: 0.0000 0.0000 0.0000 (multiplicity 3)
Pt: 0.0000 0.0000 0.2628 (multiplicity 6)
O: 0.0000 0.0000 0.4606 (multiplicity 6)

Peak list (6 most intense, 2θ from 15° to 90°, in order of rising 2θ)
h k l  d/Å  2theta  I (rel.)
0 0 12  5.093  17.41  34.9
0 0 15  4.075  21.81  46.3
1 0 4  2.520  35.62  34.8
0 1 8  2.423  37.10  59.1
0 1 11  2.322  38.79  100.0
1 0 19  2.001  45.32  52.3

# Ti4PtO
Calculated powder diffractogram, Cu Kα, 1.54184 Å. Input: a PBE-relaxed structure.
Peak positions follow from Bragg's law for the DFT cell and can differ from measured ones.

Structural model:
Cell: 5.367 5.872 5.940 Å, 90.00 102.22 90.00°
Space group P2_1/c (No. 14)
Asymmetric unit:
Ti: 0.096 0.160 0.198 (multiplicity 4)
Ti: 0.340 0.633 0.099 (multiplicity 4)
Pt: 0.500 0.000 0.000 (multiplicity 2)
O: 0.000 0.000 0.500 (multiplicity 2)

Peak list (6 most intense, 2θ from 15° to 90°, in order of rising 2θ)
h k l  d/Å  2theta  I (rel.)
1 0 0  5.246  16.90  90.8
0 1 1  4.129  21.52  93.9
1 1 -1  3.511  25.37  100.0
2 1 -1  2.382  37.77  96.5
1 0 2  2.339  38.49  75.3
1 1 -3  1.855  49.12  82.2

# TlPtO
Calculated powder diffractogram, Cu Kα, 1.54184 Å. Input: a PBE-relaxed structure.
Peak positions follow from Bragg's law for the DFT cell and can differ from measured ones.

Structural model:
Cell: 3.988 10.508 20.141 Å, 90.00 90.00 90.00°
Space group Fddd (No. 70, origin choice 2)
Asymmetric unit:
Tl: 0.125 0.125 0.048 (multiplicity 16)
Pt: 0.125 0.125 0.448 (multiplicity 16)
O: 0.125 0.273 0.625 (multiplicity 16)

Peak list (6 most intense, 2θ from 15° to 90°, in order of rising 2θ)
h k l  d/Å  2theta  I (rel.)
1 1 3  3.260  27.36  67.6
1 1 5  2.736  32.73  100.0
0 4 0  2.627  34.13  68.0
1 3 3  2.450  36.68  40.4
1 3 5  2.203  40.96  46.1
2 2 0  1.864  48.85  53.2